[1]
Calculated X-ray diffraction stick pattern of LiInPd5 for Cu Kα (λ = 1.5418 Å), from a DFT-relaxed cell (PBE, Alexandria).
Kinematic intensities with the Lorentz-polarization factor, no thermal factor.

Atomic structure:
Cell lengths 5.748, 5.748, 5.748 Å; angles 126.71, 125.77, 79.50 degrees
Sites, in units of the cell vectors:
1 Li 0.000 0.000 0.000
2 In 0.821 0.321 0.500
3 Pd 0.018 0.764 0.254
4 Pd 0.261 0.261 0.000
5 Pd 0.510 0.764 0.746
6 Pd 0.528 0.275 0.747
7 Pd 0.528 0.781 0.253

Most intense lines, 2θ from 10° to 90°, in order of rising 2θ:
2θ 19.70, d = 4.507 Å, I = 41
2θ 34.94, d = 2.568 Å, I = 37
2θ 39.94, d = 2.257 Å, I = 100
2θ 40.51, d = 2.227 Å, I = 88
2θ 40.84, d = 2.210 Å, I = 36
2θ 49.83, d = 1.830 Å, I = 37

***

[2]
Calculated X-ray diffraction stick pattern of Al5Cr for Cu Kα (λ = 1.5418 Å), from a DFT-relaxed cell (PBE, Alexandria).
Kinematic intensities with the Lorentz-polarization factor, no thermal factor.

Atomic structure:
Cell lengths 5.073, 5.073, 5.073 Å; angles 60.00, 60.00, 60.00 degrees
Sites, in units of the cell vectors:
1 Al 0.000 0.000 0.000
2 Al 0.127 0.624 0.624
3 Al 0.624 0.127 0.624
4 Al 0.624 0.624 0.127
5 Al 0.624 0.624 0.624
6 Cr 0.250 0.250 0.250

Most intense lines, 2θ from 10° to 90°, in order of rising 2θ:
2θ 35.39, d = 2.537 Å, I = 42
2θ 41.76, d = 2.163 Å, I = 100
2θ 43.71, d = 2.071 Å, I = 28
2θ 63.53, d = 1.464 Å, I = 13
2θ 67.88, d = 1.381 Å, I = 29
2θ 74.87, d = 1.268 Å, I = 23

***

[3]
Calculated X-ray diffraction stick pattern of Ag3TeS for Cu Kα (λ = 1.5418 Å), from a DFT-relaxed cell (PBE, Alexandria).
Kinematic intensities with the Lorentz-polarization factor, no thermal factor.

Atomic structure:
Cell lengths 5.931, 6.894, 7.166 Å; angles 62.18, 70.01, 68.44 degrees
Sites, in units of the cell vectors:
1 Ag 0.069 0.243 0.129
2 Ag 0.124 0.179 0.598
3 Ag 0.382 0.862 0.969
4 Ag 0.618 0.138 0.031
5 Ag 0.876 0.821 0.402
6 Ag 0.931 0.757 0.871
7 Te 0.363 0.860 0.412
8 Te 0.637 0.140 0.588
9 S 0.128 0.586 0.187
10 S 0.872 0.414 0.813

Most intense lines, 2θ from 10° to 90°, in order of rising 2θ:
2θ 15.01, d = 5.903 Å, I = 100
2θ 32.87, d = 2.725 Å, I = 61
2θ 34.33, d = 2.612 Å, I = 54
2θ 37.67, d = 2.388 Å, I = 69
2θ 39.20, d = 2.298 Å, I = 55
2θ 40.04, d = 2.252 Å, I = 57

***

[4]
Calculated X-ray diffraction stick pattern of Nd2CoH6Rh for Cu Kα (λ = 1.5418 Å), from a DFT-relaxed cell (PBE, Alexandria).
Kinematic intensities with the Lorentz-polarization factor, no thermal factor.

Atomic structure:
Cell lengths 5.215, 5.202, 5.184 Å; angles 60.28, 60.03, 59.69 degrees
Sites, in units of the cell vectors:
1 Nd 0.250 0.250 0.250
2 Nd 0.750 0.750 0.750
3 Co 0.000 0.000 0.000
4 H 0.233 0.233 0.767
5 H 0.235 0.765 0.235
6 H 0.236 0.764 0.764
7 H 0.764 0.236 0.236
8 H 0.765 0.235 0.765
9 H 0.767 0.767 0.233
10 Rh 0.500 0.500 0.500

Most intense lines, 2θ from 10° to 90°, in order of rising 2θ:
2θ 34.44, d = 2.604 Å, I = 100
2θ 34.61, d = 2.592 Å, I = 49
2θ 49.25, d = 1.850 Å, I = 9
2θ 61.59, d = 1.506 Å, I = 18
2θ 61.82, d = 1.501 Å, I = 18
2θ 62.00, d = 1.497 Å, I = 18

***

[5]
Calculated X-ray diffraction stick pattern of Ba5Ca4 for Cu Kα (λ = 1.5418 Å), from a DFT-relaxed cell (PBE, Alexandria).
Kinematic intensities with the Lorentz-polarization factor, no thermal factor.

Atomic structure:
Cell lengths 11.711, 11.711, 8.073 Å; angles 90.00, 90.00, 120.00 degrees
Sites, in units of the cell vectors:
1 Ba 0.000 0.343 0.250
2 Ba 0.000 0.657 0.750
3 Ba 0.333 0.667 0.000
4 Ba 0.333 0.667 0.500
5 Ba 0.343 0.000 0.250
6 Ba 0.343 0.343 0.750
7 Ba 0.657 0.000 0.750
8 Ba 0.657 0.657 0.250
9 Ba 0.667 0.333 0.000
10 Ba 0.667 0.333 0.500
11 Ca 0.000 0.000 0.000
12 Ca 0.000 0.000 0.500
13 Ca 0.000 0.314 0.750
14 Ca 0.000 0.686 0.250
15 Ca 0.314 0.000 0.750
16 Ca 0.314 0.314 0.250
17 Ca 0.686 0.000 0.250
18 Ca 0.686 0.686 0.750

Most intense lines, 2θ from 10° to 90°, in order of rising 2θ:
2θ 18.72, d = 4.740 Å, I = 35
2θ 26.36, d = 3.381 Å, I = 100
2θ 26.83, d = 3.323 Å, I = 91
2θ 37.97, d = 2.370 Å, I = 35
2θ 46.81, d = 1.941 Å, I = 38
2θ 52.83, d = 1.733 Å, I = 28

***

[6]
Calculated X-ray diffraction stick pattern of Hg2Mo2Br7 for Cu Kα (λ = 1.5418 Å), from a DFT-relaxed cell (PBE, Alexandria).
Kinematic intensities with the Lorentz-polarization factor, no thermal factor.

Atomic structure:
Cell lengths 7.622, 7.622, 9.858 Å; angles 95.32, 95.32, 119.87 degrees
Sites, in units of the cell vectors:
1 Hg 0.217 0.783 0.000
2 Hg 0.783 0.217 0.000
3 Mo 0.169 0.169 0.559
4 Mo 0.831 0.831 0.441
5 Br 0.080 0.406 0.670
6 Br 0.089 0.089 0.306
7 Br 0.406 0.080 0.670
8 Br 0.500 0.500 0.500
9 Br 0.594 0.920 0.330
10 Br 0.911 0.911 0.694
11 Br 0.920 0.594 0.330

Most intense lines, 2θ from 10° to 90°, in order of rising 2θ:
2θ 13.57, d = 6.523 Å, I = 24
2θ 16.26, d = 5.453 Å, I = 100
2θ 26.01, d = 3.426 Å, I = 30
2θ 28.49, d = 3.133 Å, I = 22
2θ 32.84, d = 2.727 Å, I = 26
2θ 36.05, d = 2.492 Å, I = 26